Calculated powder XRD pattern of UBeC for Cu Kα, 1.54184 Å, from a structure optimized by DFT (GGA-PBE).
Kinematic intensities with the Lorentz-polarization factor, no thermal factor.

Crystal structure
Cell lengths 3.357, 3.357, 7.076 Å; angles 90.00, 90.00, 90.00 degrees
Space group P4_2/mmc (No. 131)
Asymmetric unit:
1 U 0.000 0.000 0.250 (multiplicity 2)
2 Be 0.500 0.500 0.000 (multiplicity 2)
3 C 0.000 0.500 0.000 (multiplicity 2)

Top 12 peaks for 2θ from 10° to 80°, by angle:
| d (Å) | 2θ/deg | I_rel | (hkl) |
| --- | --- | --- | --- |
| 3.538 | 25.17 | 51 | 0 0 2 |
| 3.357 | 26.55 | 100 | 1 0 0 |
| 2.435 | 36.91 | 97 | 1 0 2 |
| 2.374 | 37.90 | 41 | 1 1 0 |
| 1.971 | 46.04 | 51 | 1 1 2 |
| 1.679 | 54.68 | 17 | 2 0 0 |
| 1.565 | 59.02 | 23 | 1 0 4 |
| 1.517 | 61.11 | 20 | 2 0 2 |
| 1.501 | 61.79 | 20 | 2 1 0 |
| 1.418 | 65.84 | 18 | 1 1 4 |
| 1.382 | 67.81 | 35 | 2 1 2 |
| 1.218 | 78.56 | 13 | 2 0 4 |

=====

Calculated powder XRD pattern of Be3V6C for Cu Kα, 1.54184 Å, from a structure optimized by DFT (GGA-PBE).
Kinematic intensities with the Lorentz-polarization factor, no thermal factor.

Crystal structure
Cell lengths 9.020, 4.826, 6.790 Å; angles 90.00, 126.59, 90.00 degrees
Space group C2/m (No. 12)
Asymmetric unit:
1 Be 0.000 0.000 0.000 (multiplicity 2)
2 Be 0.140 0.500 0.165 (multiplicity 4)
3 V 0.089 0.254 0.790 (multiplicity 8)
4 V 0.248 0.000 0.411 (multiplicity 4)
5 C 0.000 0.500 0.500 (multiplicity 2)

Top 12 peaks for 2θ from 10° to 80°, by angle:
| d (Å) | 2θ/deg | I_rel | (hkl) |
| --- | --- | --- | --- |
| 3.909 | 22.75 | 33 | 1 1 -1 |
| 3.332 | 26.75 | 100 | 2 0 -2 |
| 2.726 | 32.86 | 26 | 0 0 2 |
| 2.710 | 33.06 | 31 | 1 1 -2 |
| 2.423 | 37.10 | 86 | 2 0 1 |
| 2.206 | 40.90 | 33 | 0 2 1 |
| 2.142 | 42.19 | 68 | 4 0 -1 |
| 2.126 | 42.53 | 97 | 2 2 -1 |
| 2.018 | 44.91 | 44 | 4 0 -3 |
| 2.008 | 45.16 | 42 | 2 2 0 |
| 1.954 | 46.46 | 26 | 2 2 -2 |
| 1.807 | 50.51 | 49 | 0 2 2 |

=====

Calculated powder XRD pattern of Be2V3C for Cu Kα, 1.54184 Å, from a structure optimized by DFT (GGA-PBE).
Kinematic intensities with the Lorentz-polarization factor, no thermal factor.

Crystal structure
Cell lengths 6.385, 6.385, 6.385 Å; angles 90.00, 90.00, 90.00 degrees
Space group P4_132 (No. 213)
Asymmetric unit:
1 Be 0.075 0.075 0.075 (multiplicity 8)
2 V 0.045 0.875 0.705 (multiplicity 12)
3 C 0.125 0.625 0.875 (multiplicity 4)

Top 12 peaks for 2θ from 10° to 80°, by angle:
| d (Å) | 2θ/deg | I_rel | (hkl) |
| --- | --- | --- | --- |
| 4.515 | 19.66 | 41 | 1 1 0 |
| 3.686 | 24.14 | 36 | 1 1 1 |
| 2.855 | 31.33 | 24 | 2 1 0 |
| 2.607 | 34.40 | 14 | 2 1 1 |
| 2.257 | 39.94 | 8 | 2 2 0 |
| 2.128 | 42.47 | 100 | 2 2 1 |
| 2.019 | 44.89 | 53 | 3 1 0 |
| 1.925 | 47.21 | 22 | 3 1 1 |
| 1.505 | 61.63 | 15 | 4 1 1 |
| 1.428 | 65.36 | 12 | 4 2 0 |
| 1.361 | 68.99 | 9 | 3 3 2 |
| 1.252 | 76.00 | 16 | 4 3 1 |

=====

Calculated powder XRD pattern of Y3BeC2 for Cu Kα, 1.54184 Å, from a structure optimized by DFT (GGA-PBE).
Kinematic intensities with the Lorentz-polarization factor, no thermal factor.

Crystal structure
Cell lengths 6.857, 8.663, 7.312 Å; angles 90.00, 90.00, 90.00 degrees
Space group Imma (No. 74)
Asymmetric unit:
1 Y 0.000 0.250 0.039 (multiplicity 4)
2 Y 0.250 0.047 0.750 (multiplicity 8)
3 Be 0.000 0.250 0.437 (multiplicity 4)
4 C 0.000 0.250 0.688 (multiplicity 4)
5 C 0.250 0.250 0.250 (multiplicity 4)

Top 12 peaks for 2θ from 10° to 80°, by angle:
| d (Å) | 2θ/deg | I_rel | (hkl) |
| --- | --- | --- | --- |
| 5.002 | 17.73 | 32 | 1 0 1 |
| 3.656 | 24.35 | 18 | 0 0 2 |
| 3.274 | 27.24 | 23 | 1 2 1 |
| 2.794 | 32.04 | 59 | 0 2 2 |
| 2.688 | 33.34 | 100 | 2 2 0 |
| 2.501 | 35.91 | 66 | 2 0 2 |
| 2.166 | 41.70 | 15 | 0 4 0 |
| 2.114 | 42.77 | 20 | 2 3 1 |
| 1.714 | 53.45 | 12 | 4 0 0 |
| 1.637 | 56.20 | 35 | 2 3 3 |
| 1.512 | 61.30 | 27 | 2 2 4 |
| 1.461 | 63.69 | 16 | 4 2 2 |

=====

Calculated powder XRD pattern of BeZn3C for Cu Kα, 1.54184 Å, from a structure optimized by DFT (GGA-PBE).
Kinematic intensities with the Lorentz-polarization factor, no thermal factor.

Crystal structure
Cell lengths 4.116, 4.116, 4.116 Å; angles 90.00, 90.00, 90.00 degrees
Space group Pm-3m (No. 221)
Asymmetric unit:
1 Be 0.000 0.000 0.000 (multiplicity 1)
2 Zn 0.000 0.500 0.500 (multiplicity 3)
3 C 0.500 0.500 0.500 (multiplicity 1)

Top 10 peaks for 2θ from 10° to 80°, by angle:
| d (Å) | 2θ/deg | I_rel | (hkl) |
| --- | --- | --- | --- |
| 4.116 | 21.59 | 43 | 1 0 0 |
| 2.911 | 30.72 | 17 | 1 1 0 |
| 2.376 | 37.86 | 100 | 1 1 1 |
| 2.058 | 44.00 | 58 | 2 0 0 |
| 1.841 | 49.52 | 17 | 2 1 0 |
| 1.680 | 54.62 | 7 | 2 1 1 |
| 1.455 | 63.98 | 35 | 2 2 0 |
| 1.372 | 68.37 | 7 | 3 0 0 |
| 1.302 | 72.64 | 3 | 3 1 0 |
| 1.241 | 76.81 | 35 | 3 1 1 |

=====

Calculated powder XRD pattern of Zr4BeC2 for Cu Kα, 1.54184 Å, from a structure optimized by DFT (GGA-PBE).
Kinematic intensities with the Lorentz-polarization factor, no thermal factor.

Crystal structure
Cell lengths 3.389, 11.212, 11.706 Å; angles 90.00, 90.00, 90.00 degrees
Space group Cmcm (No. 63)
Asymmetric unit:
1 Zr 0.000 0.000 0.000 (multiplicity 4)
2 Zr 0.000 0.265 0.111 (multiplicity 8)
3 Zr 0.000 0.436 0.750 (multiplicity 4)
4 Be 0.000 0.111 0.750 (multiplicity 4)
5 C 0.000 0.363 0.560 (multiplicity 8)

Top 12 peaks for 2θ from 10° to 80°, by angle:
| d (Å) | 2θ/deg | I_rel | (hkl) |
| --- | --- | --- | --- |
| 2.838 | 31.53 | 61 | 1 1 2 |
| 2.803 | 31.93 | 32 | 0 4 0 |
| 2.726 | 32.86 | 18 | 0 4 1 |
| 2.594 | 34.58 | 100 | 0 2 4 |
| 2.495 | 36.00 | 57 | 1 1 3 |
| 2.455 | 36.61 | 69 | 1 3 1 |
| 2.307 | 39.04 | 30 | 1 3 2 |
| 1.695 | 54.12 | 19 | 2 0 0 |
| 1.686 | 54.41 | 35 | 1 5 3 |
| 1.576 | 58.59 | 22 | 1 5 4 |
| 1.419 | 65.83 | 29 | 2 2 4 |
| 1.392 | 67.27 | 18 | 1 3 7 |